[1]
For LaAl5Ni2, the GGA-PBE geometry in the Materials Project gives the simulated X-ray powder pattern in this record (CuKα).

Cell and atoms:
Lattice parameters (Å, degrees): 4.026 7.072 9.636 90.00 90.00 90.00
Space group Immm (No. 71)
Asymmetric unit:
La: 0.000 0.000 0.000 (multiplicity 2)
Al: 0.000 0.189 0.340 (multiplicity 8)
Al: 0.000 0.500 0.000 (multiplicity 2)
Ni: 0.000 0.500 0.237 (multiplicity 4)

Top 10 peaks for 5° ≤ 2θ ≤ 70°, in order of rising 2θ:
(hkl), d_spacing, I (rel.)
0 1 1, 5.701, 31
1 0 1, 3.715, 27
0 2 0, 3.536, 43
0 1 3, 2.925, 36
1 1 2, 2.831, 100
1 2 1, 2.561, 72
1 0 3, 2.511, 42
2 0 0, 2.013, 30
0 2 4, 1.991, 41
1 3 2, 1.874, 47

[2]
For La5Al3Ni2, the GGA-PBE geometry in the Materials Project gives the simulated X-ray powder pattern in this record (CuKα).

Cell and atoms:
Lattice parameters (Å, degrees): 14.262 6.890 10.479 90.00 90.00 90.00
Space group Cmcm (No. 63)
Asymmetric unit:
La: 0.000 0.110 0.250 (multiplicity 4)
La: 0.125 0.500 0.000 (multiplicity 8)
La: 0.218 0.242 0.750 (multiplicity 8)
Al: 0.000 0.382 0.750 (multiplicity 4)
Al: 0.147 0.000 0.000 (multiplicity 8)
Ni: 0.000 0.170 0.561 (multiplicity 8)

Top 10 peaks for 5° ≤ 2θ ≤ 70°, in order of rising 2θ:
(hkl), d_spacing, I (rel.)
1 1 2, 4.003, 53
3 1 0, 3.913, 49
3 1 1, 3.666, 35
4 0 2, 2.948, 100
0 2 2, 2.878, 77
2 2 2, 2.669, 54
0 0 4, 2.620, 65
3 1 3, 2.606, 47
4 2 0, 2.477, 56
4 2 4, 1.800, 33